Structure and calculated X-ray diffraction stick pattern of GdFeNi4 (a crystal structure in Alexandria, relaxed with PBE; copper Kα).
Peak positions follow from Bragg's law for the DFT cell and can differ from measured ones.

Structure:
abc: 4.888 4.888 4.888
angles: 60.00 60.00 60.00
Fractional positions:
1 Gd 0.000 0.000 0.000
2 Fe 0.750 0.750 0.750
3 Ni 0.376 0.376 0.376
4 Ni 0.376 0.376 0.872
5 Ni 0.376 0.872 0.376
6 Ni 0.872 0.376 0.376

Largest 12 diffraction maxima, low angle first, 15 to 90 degrees two-theta:
d 3.991, I 10; d 3.457, I 12; d 2.444, I 44; d 2.084, I 100; d 1.996, I 27; d 1.586, I 3; d 1.546, I 4; d 1.411, I 15; d 1.330, I 29; d 1.222, I 22; d 1.152, I 2; d 1.093, I 7

=====

Structure and calculated X-ray diffraction stick pattern of SrSn6Pd (a crystal structure in Alexandria, relaxed with PBE; copper Kα).
Peak positions follow from Bragg's law for the DFT cell and can differ from measured ones.

Structure:
abc: 4.453 7.023 7.023
angles: 79.26 90.00 90.00
Fractional positions:
1 Sr 0.000 0.000 0.000
2 Sn 0.000 0.013 0.499
3 Sn 0.000 0.499 0.013
4 Sn 0.500 0.244 0.244
5 Sn 0.500 0.316 0.677
6 Sn 0.500 0.677 0.316
7 Sn 0.500 0.758 0.758
8 Pd 0.000 0.594 0.594

Largest 12 diffraction maxima, low angle first, 15 to 90 degrees two-theta:
d 2.879, I 7; d 2.727, I 100; d 2.704, I 22; d 2.675, I 12; d 2.418, I 8; d 2.240, I 10; d 2.227, I 20; d 2.054, I 7; d 1.719, I 12; d 1.566, I 12; d 1.364, I 17; d 1.254, I 7

=====

Structure and calculated X-ray diffraction stick pattern of Na2CuF3 (a crystal structure in Alexandria, relaxed with PBE; copper Kα).
Peak positions follow from Bragg's law for the DFT cell and can differ from measured ones.

Structure:
abc: 6.323 6.323 4.775
angles: 90.00 90.00 66.95
Fractional positions:
1 Na 0.012 0.324 0.250
2 Na 0.324 0.012 0.750
3 Na 0.676 0.988 0.250
4 Na 0.988 0.676 0.750
5 Cu 0.374 0.626 0.250
6 Cu 0.626 0.374 0.750
7 F 0.012 0.681 0.250
8 F 0.319 0.988 0.250
9 F 0.343 0.657 0.750
10 F 0.657 0.343 0.250
11 F 0.681 0.012 0.750
12 F 0.988 0.319 0.750

Largest 12 diffraction maxima, low angle first, 15 to 90 degrees two-theta:
d 5.818, I 45; d 5.274, I 38; d 3.691, I 27; d 3.140, I 100; d 2.816, I 24; d 2.623, I 17; d 2.387, I 63; d 1.939, I 48; d 1.900, I 42; d 1.758, I 21; d 1.505, I 37; d 1.416, I 18

=====

Structure and calculated X-ray diffraction stick pattern of NaCa4Ni (a crystal structure in Alexandria, relaxed with PBE; copper Kα).
Peak positions follow from Bragg's law for the DFT cell and can differ from measured ones.

Structure:
abc: 9.065 9.065 6.799
angles: 105.21 105.21 110.70
Fractional positions:
1 Na 0.088 0.912 0.750
2 Na 0.912 0.088 0.250
3 Ca 0.142 0.554 0.329
4 Ca 0.270 0.384 0.805
5 Ca 0.384 0.270 0.305
6 Ca 0.446 0.858 0.171
7 Ca 0.554 0.142 0.829
8 Ca 0.616 0.730 0.695
9 Ca 0.730 0.616 0.195
10 Ca 0.858 0.446 0.671
11 Ni 0.425 0.575 0.250
12 Ni 0.575 0.425 0.750

Largest 12 diffraction maxima, low angle first, 15 to 90 degrees two-theta:
d 4.690, I 28; d 4.088, I 41; d 4.060, I 25; d 3.016, I 50; d 2.964, I 100; d 2.824, I 54; d 2.809, I 19; d 2.501, I 26; d 2.112, I 20; d 2.105, I 20; d 1.936, I 37; d 1.672, I 17

=====

Structure and calculated X-ray diffraction stick pattern of Ac8Si3Te4Cl (a crystal structure in Alexandria, relaxed with PBE; copper Kα).
Peak positions follow from Bragg's law for the DFT cell and can differ from measured ones.

Structure:
abc: 9.395 9.395 9.395
angles: 58.77 58.77 58.77
Fractional positions:
1 Ac 0.230 0.748 0.748
2 Ac 0.241 0.241 0.241
3 Ac 0.252 0.252 0.770
4 Ac 0.252 0.770 0.252
5 Ac 0.748 0.230 0.748
6 Ac 0.748 0.748 0.230
7 Ac 0.759 0.759 0.759
8 Ac 0.770 0.252 0.252
9 Si 0.000 0.000 0.500
10 Si 0.000 0.500 0.000
11 Si 0.500 0.000 0.000
12 Te 0.000 0.000 0.000
13 Te 0.000 0.500 0.500
14 Te 0.500 0.000 0.500
15 Te 0.500 0.500 0.000
16 Cl 0.500 0.500 0.500

Largest 12 diffraction maxima, low angle first, 15 to 90 degrees two-theta:
d 3.871, I 10; d 3.775, I 32; d 3.290, I 100; d 3.028, I 10; d 2.348, I 36; d 2.305, I 39; d 1.980, I 10; d 1.888, I 21; d 1.645, I 12; d 1.482, I 14; d 1.460, I 18; d 1.339, I 12

=====

Structure and calculated X-ray diffraction stick pattern of Sn2TeAuS3 (a crystal structure in Alexandria, relaxed with PBE; copper Kα).
Peak positions follow from Bragg's law for the DFT cell and can differ from measured ones.

Structure:
abc: 8.342 8.342 8.342
angles: 56.25 56.25 56.25
Fractional positions:
1 Sn 0.000 0.000 0.000
2 Sn 0.000 0.000 0.500
3 Sn 0.000 0.500 0.000
4 Sn 0.500 0.000 0.000
5 Te 0.256 0.256 0.256
6 Te 0.744 0.744 0.744
7 Au 0.428 0.428 0.428
8 Au 0.572 0.572 0.572
9 S 0.213 0.748 0.748
10 S 0.252 0.252 0.787
11 S 0.252 0.787 0.252
12 S 0.748 0.213 0.748
13 S 0.748 0.748 0.213
14 S 0.787 0.252 0.252

Largest 12 diffraction maxima, low angle first, 15 to 90 degrees two-theta:
d 3.932, I 100; d 3.574, I 38; d 3.362, I 71; d 2.857, I 91; d 2.745, I 64; d 2.614, I 64; d 2.195, I 27; d 1.966, I 79; d 1.953, I 54; d 1.905, I 25; d 1.598, I 35; d 1.307, I 28

=====

Structure and calculated X-ray diffraction stick pattern of SrCu2SnS4 (a crystal structure in Alexandria, relaxed with PBE; copper Kα).
Peak positions follow from Bragg's law for the DFT cell and can differ from measured ones.

Structure:
abc: 6.352 6.352 15.609
angles: 90.00 90.00 120.00
Fractional positions:
1 Sr 0.000 0.563 0.333
2 Sr 0.437 0.437 0.000
3 Sr 0.563 0.000 0.667
4 Cu 0.072 0.635 0.088
5 Cu 0.365 0.437 0.755
6 Cu 0.437 0.365 0.245
7 Cu 0.563 0.928 0.421
8 Cu 0.635 0.072 0.912
9 Cu 0.928 0.563 0.579
10 Sn 0.000 0.704 0.833
11 Sn 0.296 0.296 0.500
12 Sn 0.704 0.000 0.167
13 S 0.046 0.486 0.712
14 S 0.116 0.353 0.171
15 S 0.237 0.884 0.505
16 S 0.353 0.116 0.829
17 S 0.440 0.954 0.046
18 S 0.486 0.046 0.288
19 S 0.514 0.560 0.379
20 S 0.560 0.514 0.621
21 S 0.647 0.763 0.838
22 S 0.763 0.647 0.162
23 S 0.884 0.237 0.495
24 S 0.954 0.440 0.954

Largest 12 diffraction maxima, low angle first, 15 to 90 degrees two-theta:
d 5.501, I 9; d 5.193, I 11; d 3.780, I 13; d 3.180, I 100; d 2.713, I 15; d 2.432, I 17; d 2.248, I 23; d 1.931, I 8; d 1.839, I 17; d 1.835, I 18; d 1.821, I 12; d 1.730, I 16

=====

Structure and calculated X-ray diffraction stick pattern of Ca2Pr15Er2 (a crystal structure in Alexandria, relaxed with PBE; copper Kα).
Peak positions follow from Bragg's law for the DFT cell and can differ from measured ones.

Structure:
abc: 9.053 9.053 9.053
angles: 80.98 80.98 80.98
Fractional positions:
1 Ca 0.171 0.171 0.171
2 Ca 0.829 0.829 0.829
3 Pr 0.000 0.500 0.500
4 Pr 0.137 0.137 0.647
5 Pr 0.137 0.647 0.137
6 Pr 0.207 0.500 0.793
7 Pr 0.207 0.793 0.500
8 Pr 0.353 0.863 0.863
9 Pr 0.500 0.000 0.500
10 Pr 0.500 0.207 0.793
11 Pr 0.500 0.500 0.000
12 Pr 0.500 0.793 0.207
13 Pr 0.647 0.137 0.137
14 Pr 0.793 0.207 0.500
15 Pr 0.793 0.500 0.207
16 Pr 0.863 0.353 0.863
17 Pr 0.863 0.863 0.353
18 Er 0.406 0.406 0.406
19 Er 0.594 0.594 0.594

Largest 12 diffraction maxima, low angle first, 15 to 90 degrees two-theta:
d 5.878, I 26; d 3.394, I 20; d 3.368, I 30; d 2.995, I 24; d 2.953, I 73; d 2.938, I 99; d 2.669, I 37; d 2.639, I 100; d 2.520, I 15; d 1.784, I 15; d 1.721, I 16; d 1.697, I 39